(1)
Structure and computed X-ray powder pattern of Ti4S8Cl6O (a PBE-relaxed structure; Cu Ka).

Principal peaks in the range 2θ = 10–90°, low angle first:
2θ = 10.90°, I 98; 2θ = 11.27°, I 61; 2θ = 12.45°, I 100; 2θ = 13.87°, I 53; 2θ = 14.39°, I 65; 2θ = 21.18°, I 33; 2θ = 30.73°, I 32; 2θ = 31.01°, I 39

Structural model:
```
Ti4S8Cl6O
1.0
4.830 -8.558 0.000
4.830 8.558 0.000
-4.008 0.000 12.773
Ti S Cl O
8 16 12 2
Direct
0.134 0.765 0.851
0.136 0.207 0.287
0.207 0.136 0.787
0.235 0.866 0.649
0.765 0.134 0.351
0.793 0.864 0.213
0.864 0.793 0.713
0.866 0.235 0.149
0.048 0.931 0.324
0.069 0.952 0.176
0.134 0.276 0.121
0.150 0.452 0.234
0.170 0.612 0.711
0.276 0.134 0.621
0.388 0.830 0.789
0.452 0.150 0.734
0.548 0.850 0.266
0.612 0.170 0.211
0.724 0.866 0.379
0.830 0.388 0.289
0.850 0.548 0.766
0.866 0.724 0.879
0.931 0.048 0.824
0.952 0.069 0.676
0.068 0.286 0.454
0.199 0.691 0.991
0.286 0.068 0.954
0.309 0.801 0.509
0.338 0.404 0.862
0.404 0.338 0.362
0.596 0.662 0.638
0.662 0.596 0.138
0.691 0.199 0.491
0.714 0.932 0.046
0.801 0.309 0.009
0.932 0.714 0.546
0.110 0.890 0.750
0.890 0.110 0.250
```

(2)
Structure and computed X-ray powder pattern of TbPd (a PBE-relaxed structure; Cu Ka).

Principal peaks in the range 2θ = 10–90°, low angle first:
2θ = 31.99°, I 100; 2θ = 33.85°, I 31; 2θ = 35.03°, I 21; 2θ = 38.90°, I 34; 2θ = 39.19°, I 18; 2θ = 40.23°, I 64; 2θ = 48.94°, I 18; 2θ = 52.50°, I 18

Structural model:
```
TbPd
1.0
1.861 -5.296 0.000
1.861 5.296 0.000
0.000 0.000 4.630
Tb Pd
2 2
Direct
0.137 0.863 0.750
0.863 0.137 0.250
0.414 0.586 0.750
0.586 0.414 0.250
```

(3)
Structure and computed X-ray powder pattern of ThC (a PBE-relaxed structure; Cu Ka).

Principal peaks in the range 2θ = 10–90°, low angle first:
2θ = 27.94°, I 100; 2θ = 39.93°, I 96; 2θ = 49.44°, I 30; 2θ = 57.75°, I 16; 2θ = 65.35°, I 40; 2θ = 72.51°, I 34; 2θ = 86.14°, I 11

Structural model:
```
ThC
1.0
3.193 0.000 0.000
0.000 3.193 0.000
0.000 0.000 3.193
Th C
1 1
Direct
0.000 0.000 0.000
0.500 0.500 0.500
```

(4)
Structure and computed X-ray powder pattern of YFe2SiC (a PBE-relaxed structure; Cu Ka).

Principal peaks in the range 2θ = 10–90°, low angle first:
2θ = 31.61°, I 22; 2θ = 35.20°, I 65; 2θ = 36.86°, I 100; 2θ = 36.99°, I 46; 2θ = 37.72°, I 46; 2θ = 43.88°, I 41; 2θ = 48.52°, I 33; 2θ = 66.00°, I 23

Structural model:
```
YFe2SiC
1.0
1.876 -5.211 0.000
1.876 5.211 0.000
0.000 0.000 6.743
Y Fe Si C
2 4 2 2
Direct
0.049 0.951 0.750
0.951 0.049 0.250
0.334 0.666 0.563
0.334 0.666 0.937
0.666 0.334 0.063
0.666 0.334 0.437
0.231 0.769 0.250
0.769 0.231 0.750
0.500 0.500 0.000
0.500 0.500 0.500
```

(5)
Structure and computed X-ray powder pattern of TaCo2Te2 (a PBE-relaxed structure; Cu Ka).

Principal peaks in the range 2θ = 10–90°, low angle first:
2θ = 27.68°, I 94; 2θ = 32.02°, I 45; 2θ = 36.45°, I 100; 2θ = 39.14°, I 95; 2θ = 39.49°, I 77; 2θ = 41.70°, I 48; 2θ = 42.96°, I 54; 2θ = 44.63°, I 84

Structural model:
```
TaCo2Te2
1.0
18.110 0.000 0.000
0.000 6.575 0.000
0.000 0.000 6.551
Ta Co Te
8 16 16
Direct
0.224 0.250 0.150
0.235 0.750 0.151
0.265 0.250 0.651
0.276 0.750 0.650
0.724 0.250 0.350
0.735 0.750 0.349
0.765 0.250 0.849
0.776 0.750 0.850
0.182 0.533 0.456
0.182 0.534 0.846
0.182 0.966 0.846
0.182 0.967 0.456
0.318 0.033 0.956
0.318 0.034 0.346
0.318 0.466 0.346
0.318 0.467 0.956
0.682 0.533 0.044
0.682 0.534 0.654
0.682 0.966 0.654
0.682 0.967 0.044
0.818 0.033 0.544
0.818 0.034 0.154
0.818 0.466 0.154
0.818 0.467 0.544
0.090 0.750 0.650
0.095 0.503 0.151
0.095 0.997 0.151
0.109 0.250 0.653
0.391 0.750 0.153
0.405 0.003 0.651
0.405 0.497 0.651
0.410 0.250 0.150
0.590 0.750 0.850
0.595 0.503 0.349
0.595 0.997 0.349
0.609 0.250 0.847
0.891 0.750 0.347
0.905 0.003 0.849
0.905 0.497 0.849
0.910 0.250 0.350
```

(6)
Structure and computed X-ray powder pattern of Sr4Tl2CO9 (a PBE-relaxed structure; Cu Ka).

Principal peaks in the range 2θ = 10–90°, low angle first:
2θ = 26.39°, I 62; 2θ = 28.05°, I 19; 2θ = 31.06°, I 100; 2θ = 34.98°, I 31; 2θ = 35.31°, I 30; 2θ = 37.70°, I 28; 2θ = 50.56°, I 21; 2θ = 54.37°, I 21

Structural model:
```
Sr4Tl2CO9
1.0
-2.565 9.543 2.542
2.565 -9.543 2.542
2.565 9.543 -2.542
Sr Tl C O
4 2 1 9
Direct
0.111 0.000 0.111
0.401 0.015 0.387
0.628 0.015 0.613
0.889 0.000 0.889
0.252 0.499 0.753
0.746 0.499 0.247
0.011 0.511 0.500
0.147 0.505 0.641
0.246 0.997 0.249
0.266 0.766 0.500
0.364 0.498 0.865
0.633 0.498 0.135
0.747 0.997 0.751
0.864 0.505 0.359
0.881 0.163 0.281
0.881 0.600 0.719
```

(7)
Structure and computed X-ray powder pattern of Sb8Te3 (a PBE-relaxed structure; Cu Ka).

Principal peaks in the range 2θ = 10–90°, low angle first:
2θ = 28.00°, I 100; 2θ = 38.71°, I 36; 2θ = 41.27°, I 37; 2θ = 50.61°, I 19; 2θ = 57.87°, I 11; 2θ = 63.67°, I 13; 2θ = 67.28°, I 16; 2θ = 73.53°, I 11

Structural model:
```
Sb8Te3
1.0
2.187 1.263 21.609
-2.187 1.263 21.609
0.000 -2.526 21.609
Sb Te
8 3
Direct
0.048 0.048 0.048
0.136 0.136 0.136
0.322 0.322 0.322
0.405 0.405 0.405
0.595 0.595 0.595
0.678 0.678 0.678
0.864 0.864 0.864
0.952 0.952 0.952
0.223 0.223 0.223
0.500 0.500 0.500
0.777 0.777 0.777
```